MnSnGeO5: simulated powder diffractogram (Cu Kα), based on a cell relaxed with PBE+U.

Cell: 5.6068 5.6068 7.4059 Å, 104.39 104.39 105.11°
Fractional coordinates of all 16 atoms:
Mn  0.1693  0.8307  0.7500
Mn  0.8307  0.1693  0.2500
Sn  0.5000  0.5000  0.0000
Sn  0.5000  0.5000  0.5000
Ge  0.1755  0.8245  0.2500
Ge  0.8245  0.1755  0.7500
O  0.1296  0.2177  0.9204
O  0.1674  0.5878  0.3709
O  0.2177  0.1296  0.4204
O  0.4033  0.5967  0.7500
O  0.4122  0.8326  0.1291
O  0.5878  0.1674  0.8709
O  0.5967  0.4033  0.2500
O  0.7823  0.8704  0.5796
O  0.8326  0.4122  0.6291
O  0.8704  0.7823  0.0796

Largest 6 diffraction maxima, low angle first, 2θ = 10–90°:
| d_spacing | I_rel |
| --- | --- |
| 5.100 | 29 |
| 3.388 | 100 |
| 3.111 | 70 |
| 2.692 | 64 |
| 2.679 | 72 |
| 1.700 | 29 |